1.
K4Si23: calculated powder diffractogram (Cu Kα X-rays), based on a crystal structure in Alexandria, relaxed with GGA-PBE.
Lines closer than 0.1° are merged.

Principal peaks in the range 2θ = 10–80°, by intensity:
index  2θ (°)  I (rel.)
3 2 1  32.4  100
5 3 2  54.7  44
5 3 0  51.6  39
3 2 0  31.2  39
2 2 2  29.9  31
6 0 0  53.2  19
4 1 0  35.8  16
4 0 0  34.7  14
5 3 1  52.4  13
3 3 0  36.9  8

Structural model:
```
data_K4Si23
_cell_length_a 10.337
_cell_length_b 10.337
_cell_length_c 10.337
_cell_angle_alpha 90.00
_cell_angle_beta 90.00
_cell_angle_gamma 90.00
_space_group_name_H-M_alt 'P 1'
_space_group_IT_number 1
loop_
_space_group_symop_operation_xyz
'x,y,z'
loop_
_atom_site_label
_atom_site_type_symbol
_atom_site_fract_x
_atom_site_fract_y
_atom_site_fract_z
K1 K 0.000 0.000 0.000
K2 K 0.000 0.250 0.500
K3 K 0.000 0.750 0.500
K4 K 0.250 0.500 0.000
K5 K 0.500 0.000 0.250
K6 K 0.500 0.000 0.750
K7 K 0.500 0.500 0.500
K8 K 0.750 0.500 0.000
Si1 Si 0.000 0.307 0.118
Si2 Si 0.000 0.307 0.882
Si3 Si 0.000 0.500 0.250
Si4 Si 0.000 0.500 0.750
Si5 Si 0.000 0.693 0.118
Si6 Si 0.000 0.693 0.882
Si7 Si 0.118 0.000 0.307
Si8 Si 0.118 0.000 0.693
Si9 Si 0.185 0.185 0.185
Si10 Si 0.185 0.185 0.815
Si11 Si 0.185 0.815 0.185
Si12 Si 0.185 0.815 0.815
Si13 Si 0.193 0.500 0.382
Si14 Si 0.193 0.500 0.618
Si15 Si 0.250 0.000 0.500
Si16 Si 0.307 0.118 0.000
Si17 Si 0.307 0.882 0.000
Si18 Si 0.315 0.315 0.315
Si19 Si 0.315 0.315 0.685
Si20 Si 0.315 0.685 0.315
Si21 Si 0.315 0.685 0.685
Si22 Si 0.382 0.193 0.500
Si23 Si 0.382 0.807 0.500
Si24 Si 0.500 0.250 0.000
Si25 Si 0.500 0.382 0.193
Si26 Si 0.500 0.382 0.807
Si27 Si 0.500 0.618 0.193
Si28 Si 0.500 0.618 0.807
Si29 Si 0.500 0.750 0.000
Si30 Si 0.618 0.193 0.500
Si31 Si 0.618 0.807 0.500
Si32 Si 0.685 0.315 0.315
Si33 Si 0.685 0.315 0.685
Si34 Si 0.685 0.685 0.315
Si35 Si 0.685 0.685 0.685
Si36 Si 0.693 0.118 0.000
Si37 Si 0.693 0.882 0.000
Si38 Si 0.750 0.000 0.500
Si39 Si 0.807 0.500 0.382
Si40 Si 0.807 0.500 0.618
Si41 Si 0.815 0.185 0.185
Si42 Si 0.815 0.185 0.815
Si43 Si 0.815 0.815 0.185
Si44 Si 0.815 0.815 0.815
Si45 Si 0.882 0.000 0.307
Si46 Si 0.882 0.000 0.693
```

2.
AcMgGa2Pt: calculated powder diffractogram (Cu Kα X-rays), based on a crystal structure in Alexandria, relaxed with GGA-PBE.
Lines closer than 0.1° are merged.

Principal peaks in the range 2θ = 10–80°, by intensity:
index  2θ (°)  I (rel.)
1 1 2  32.8  100
1 1 0  28.7  74
0 1 3  30.9  62
1 0 3  31.1  55
0 0 2  15.5  41
0 1 5  44.6  35
0 2 0  40.7  34
2 0 0  41.4  32
1 0 5  44.7  32
2 1 3  52.5  29

Structural model:
```
data_AcMgGa2Pt
_cell_length_a 4.367
_cell_length_b 4.431
_cell_length_c 11.444
_cell_angle_alpha 90.00
_cell_angle_beta 90.00
_cell_angle_gamma 90.00
_space_group_name_H-M_alt 'P 1'
_space_group_IT_number 1
loop_
_space_group_symop_operation_xyz
'x,y,z'
loop_
_atom_site_label
_atom_site_type_symbol
_atom_site_fract_x
_atom_site_fract_y
_atom_site_fract_z
Ac1 Ac 0.000 0.000 0.000
Ac2 Ac 0.500 0.500 0.500
Mg1 Mg 0.000 0.500 0.751
Mg2 Mg 0.500 0.000 0.251
Ga1 Ga 0.000 0.000 0.608
Ga2 Ga 0.000 0.500 0.252
Ga3 Ga 0.500 0.000 0.752
Ga4 Ga 0.500 0.500 0.108
Pt1 Pt 0.000 0.000 0.384
Pt2 Pt 0.500 0.500 0.884
```